# 1
Starting from a cell relaxed with GGA-PBE, the powder XRD pattern of GaGeSb was computed for Cu Kα X-rays.

Principal peaks in the range 5° ≤ 2θ ≤ 70°, in order of rising 2θ:
Position (°2θ)	I_rel	index
16.80	2	0 0 2
25.38	100	1 0 1
29.39	3	1 0 2
35.12	4	0 1 3
41.99	37	1 0 4
42.10	37	1 1 0
49.73	34	0 1 5
49.81	12	0 2 1
60.97	12	0 2 4
66.98	4	1 0 7
67.10	5	2 0 5
67.22	10	2 1 1

Atomic structure:
Cell lengths 4.2926, 4.2926, 10.5528 Å; angles 90.00, 90.00, 120.00 degrees
Space group P-3m1 (No. 164)
Unique sites:
Ga 0.0000 0.0000 0.1180
Ge 0.3333 0.6667 0.5351
Sb 0.3333 0.6667 0.7891

# 2
Starting from a cell relaxed with GGA-PBE, the powder XRD pattern of Sc3GaGe2 was computed for Cu Kα X-rays.

Principal peaks in the range 5° ≤ 2θ ≤ 70°, in order of rising 2θ:
Position (°2θ)	I_rel	index
23.21	22	2 0 2
26.29	26	1 0 3
32.28	40	2 1 2
33.60	42	0 1 3
34.56	31	1 0 4
37.22	100	3 1 2
40.66	42	4 1 1
43.33	25	4 1 2
43.89	31	2 1 4
45.10	46	0 2 0
49.35	31	3 0 5
69.07	22	3 2 5

Atomic structure:
Cell lengths 10.9884, 4.0202, 10.6924 Å; angles 90.00, 90.00, 90.00 degrees
Space group Pnma (No. 62)
Unique sites:
Sc 0.0482 0.2500 0.1205
Sc 0.1300 0.7500 0.5667
Sc 0.2063 0.2500 0.8041
Ga 0.1360 0.2500 0.3674
Ge 0.0087 0.7500 0.3129
Ge 0.1832 0.7500 0.0121

# 3
Starting from a cell relaxed with GGA-PBE, the powder XRD pattern of GaGe2Se4 was computed for Cu Kα X-rays.

Principal peaks in the range 5° ≤ 2θ ≤ 70°, in order of rising 2θ:
Position (°2θ)	I_rel	index
15.64	38	1 1 0
28.44	11	0 0 2
28.69	100	1 2 1
31.59	25	2 2 0
32.62	12	1 1 2
36.37	22	2 0 2
46.05	58	3 1 2
48.20	12	3 3 0
49.09	17	4 1 1
50.52	20	1 2 3
50.98	15	2 4 0
58.83	10	0 0 4

Atomic structure:
Cell lengths 8.0105, 8.0105, 6.2770 Å; angles 90.00, 90.00, 90.00 degrees
Space group I4/m (No. 87)
Unique sites:
Ga 0.0000 0.0000 0.0000
Ge 0.0000 0.5000 0.2500
Se 0.1530 0.6828 0.5000

# 4
Starting from a cell relaxed with GGA-PBE, the powder XRD pattern of Sm4GaGeSe2 was computed for Cu Kα X-rays.

Principal peaks in the range 5° ≤ 2θ ≤ 70°, in order of rising 2θ:
Position (°2θ)	I_rel	index
25.89	29	1 1 2
29.86	51	0 0 4
30.04	100	2 0 0
42.87	75	2 0 4
43.00	37	2 2 0
50.65	5	1 1 6
50.87	10	3 1 2
53.23	40	2 2 4
62.04	6	0 0 8
62.43	12	4 0 0
68.56	4	3 1 6
68.75	2	3 3 2

Atomic structure:
Cell lengths 5.9498, 5.9498, 11.9683 Å; angles 90.00, 90.00, 90.00 degrees
Space group I-4m2 (No. 119)
Unique sites:
Sm 0.0000 0.0000 0.2469
Sm 0.0000 0.5000 0.0003
Ga 0.0000 0.0000 0.5000
Ge 0.0000 0.5000 0.2500
Se 0.0000 0.0000 0.0000
Se 0.0000 0.5000 0.7500

# 5
Starting from a cell relaxed with GGA-PBE, the powder XRD pattern of Sm5Ga2Ge was computed for Cu Kα X-rays.

Principal peaks in the range 5° ≤ 2θ ≤ 70°, in order of rising 2θ:
Position (°2θ)	I_rel	index
26.08	10	2 0 2
26.25	15	2 1 1
30.16	14	1 1 4
31.94	100	2 1 3
32.37	15	2 2 0
34.33	39	2 0 4
36.31	44	3 1 0
38.47	14	0 0 6
48.41	10	4 1 1
52.01	19	4 1 3
53.94	12	3 1 6
56.36	16	3 3 4

Atomic structure:
Cell lengths 7.8235, 7.8235, 14.0392 Å; angles 90.00, 90.00, 90.00 degrees
Space group I4/mcm (No. 140)
Unique sites:
Sm 0.0000 0.0000 0.0000
Sm 0.1713 0.3288 0.1495
Ga 0.1206 0.3794 0.5000
Ge 0.0000 0.0000 0.2500

# 6
Starting from a cell relaxed with GGA-PBE, the powder XRD pattern of Sm10Ga3Ge3 was computed for Cu Kα X-rays.

Principal peaks in the range 5° ≤ 2θ ≤ 70°, in order of rising 2θ:
Position (°2θ)	I_rel	index
23.57	13	2 0 0
26.41	14	0 0 2
28.98	33	1 0 2
31.36	40	2 1 0
33.58	90	1 1 2
34.12	100	2 1 1
35.69	43	3 0 0
49.81	23	2 2 2
51.74	31	2 1 3
54.72	13	3 2 1
55.82	36	4 0 2
68.03	13	5 0 2

Atomic structure:
Cell lengths 8.7157, 8.7157, 6.7508 Å; angles 90.00, 90.00, 120.00 degrees
Space group P-62m (No. 189)
Unique sites:
Sm 0.0000 0.2408 0.0000
Sm 0.0000 0.7534 0.5000
Sm 0.3333 0.6667 0.2498
Ga 0.0000 0.5977 0.0000
Ge 0.0000 0.3939 0.5000

# 7
Starting from a cell relaxed with GGA-PBE, the powder XRD pattern of SmGa3Ge3 was computed for Cu Kα X-rays.

Principal peaks in the range 5° ≤ 2θ ≤ 70°, in order of rising 2θ:
Position (°2θ)	I_rel	index
25.47	43	2 0 0
31.33	100	2 1 1
44.89	12	2 2 2
48.71	58	3 2 1
52.32	23	4 0 0
59.07	16	4 2 0
62.26	14	3 3 2

Atomic structure:
Cell lengths 6.9942, 6.9942, 6.9942 Å; angles 90.00, 90.00, 90.00 degrees
Space group Pm-3n (No. 223)
Unique sites:
Sm 0.0000 0.0000 0.0000
Ga 0.0000 0.2500 0.5000
Ge 0.0000 0.5000 0.2500

# 8
Starting from a cell relaxed with GGA-PBE, the powder XRD pattern of Ga3SnGe3 was computed for Cu Kα X-rays.

Principal peaks in the range 5° ≤ 2θ ≤ 70°, in order of rising 2θ:
Position (°2θ)	I_rel	index
17.73	2	1 1 0
25.18	42	2 0 0
30.97	100	2 1 1
44.36	18	2 2 2
48.13	59	3 2 1
51.69	26	4 0 0
58.34	17	4 2 0
61.49	14	3 3 2

Atomic structure:
Cell lengths 7.0734, 7.0734, 7.0734 Å; angles 90.00, 90.00, 90.00 degrees
Space group Pm-3n (No. 223)
Unique sites:
Ga 0.0000 0.2500 0.5000
Sn 0.0000 0.0000 0.0000
Ge 0.0000 0.5000 0.2500